Entry 1:
Diffraction record for ZnAg3. The X-ray diffraction stick pattern is simulated, not measured: it uses the PBE geometry in Alexandria and Cu Kα (weighted mean of Kα1 and Kα2).

Top 8 peaks for 10° ≤ 2θ ≤ 90°, by angle:
| d_spacing | I/Imax | index |
| --- | --- | --- |
| 2.382 | 100 | 1 0 4 |
| 2.316 | 30 | 0 0 12 |
| 2.048 | 62 | 0 1 8 |
| 1.464 | 20 | 1 1 0 |
| 1.433 | 18 | 1 0 16 |
| 1.247 | 12 | 0 2 4 |
| 1.237 | 22 | 1 1 12 |
| 1.191 | 10 | 2 0 8 |

Structural model:
```
ZnAg3
1.0
2.928 0.000 0.000
-1.464 2.536 0.000
0.000 0.000 27.792
Zn Ag
3 9
Direct
0.000 0.000 0.000
0.333 0.667 0.667
0.667 0.333 0.333
0.000 0.000 0.253
0.000 0.000 0.500
0.000 0.000 0.747
0.333 0.667 0.167
0.333 0.667 0.413
0.333 0.667 0.920
0.667 0.333 0.080
0.667 0.333 0.587
0.667 0.333 0.833
```

=====

Entry 2:
Diffraction record for Zn5Ag4. The X-ray diffraction stick pattern is simulated, not measured: it uses the PBE geometry in Alexandria and Cu Kα (weighted mean of Kα1 and Kα2).

Top 8 peaks for 10° ≤ 2θ ≤ 90°, by angle:
| d_spacing | I/Imax | index |
| --- | --- | --- |
| 3.191 | 9 | 1 1 1 |
| 2.334 | 16 | 2 1 1 |
| 2.283 | 100 | 3 0 0 |
| 2.231 | 90 | 1 1 2 |
| 1.596 | 27 | 2 2 2 |
| 1.318 | 12 | 3 3 0 |
| 1.308 | 27 | 4 1 2 |
| 1.163 | 21 | 3 0 4 |

Structural model:
```
Zn5Ag4
1.0
7.907 0.000 0.000
-3.953 6.848 0.000
0.000 0.000 5.406
Zn Ag
10 8
Direct
0.000 0.305 0.250
0.000 0.695 0.750
0.305 0.000 0.250
0.305 0.305 0.750
0.333 0.667 0.000
0.333 0.667 0.500
0.667 0.333 0.000
0.667 0.333 0.500
0.695 0.000 0.750
0.695 0.695 0.250
0.000 0.000 0.000
0.000 0.000 0.500
0.000 0.364 0.750
0.000 0.636 0.250
0.364 0.000 0.750
0.364 0.364 0.250
0.636 0.000 0.250
0.636 0.636 0.750
```

=====

Entry 3:
Diffraction record for Zn4Ag. The X-ray diffraction stick pattern is simulated, not measured: it uses the PBE geometry in Alexandria and Cu Kα (weighted mean of Kα1 and Kα2).

Top 8 peaks for 10° ≤ 2θ ≤ 90°, by angle:
| d_spacing | I/Imax | index |
| --- | --- | --- |
| 2.342 | 100 | 1 1 0 |
| 2.233 | 86 | 0 1 5 |
| 1.985 | 60 | 1 0 5 |
| 1.968 | 29 | 0 2 0 |
| 1.398 | 36 | 1 2 5 |
| 1.220 | 22 | 2 1 5 |
| 1.196 | 10 | 1 3 0 |
| 1.174 | 19 | 1 1 10 |

Structural model:
```
Zn4Ag
1.0
2.914 0.000 0.000
0.000 3.935 0.000
0.000 0.000 13.561
Zn Ag
8 2
Direct
0.000 0.000 0.103
0.000 0.000 0.298
0.000 0.000 0.702
0.000 0.000 0.897
0.500 0.500 0.202
0.500 0.500 0.397
0.500 0.500 0.603
0.500 0.500 0.798
0.000 0.000 0.500
0.500 0.500 0.000
```